For DyTmTh2Sc5, DFT lattice parameters and positions (PBE) gives the theoretical X-ray diffraction stick pattern in this record (CuKα).

Largest 10 diffraction maxima, sorted by position, 10° ≤ 2θ ≤ 80°:
two_theta, I_rel
14.81, 34.6
23.51, 30.4
24.36, 38.5
24.58, 58.2
26.58, 100.0
29.87, 44.6
32.54, 75.8
34.27, 78.1
35.77, 31.5
44.62, 65.0

Structure:
```
data_DyTmTh2Sc5
_space_group_name_H-M_alt 'P 1'
_space_group_IT_number 1
_space_group_name_Hall 'P 1'
_cell_length_a 8.4617
_cell_length_b 8.4617
_cell_length_c 7.2447
_cell_angle_alpha 90.00
_cell_angle_beta 90.00
_cell_angle_gamma 90.00
loop_
_atom_site_label
_atom_site_type_symbol
_atom_site_fract_x
_atom_site_fract_y
_atom_site_fract_z
Dy1 Dy 0.0000 0.0000 0.0000
Dy2 Dy 0.5000 0.5000 0.0000
Tm1 Tm 0.0000 0.5000 0.0000
Tm2 Tm 0.5000 0.0000 0.0000
Th1 Th 0.1248 0.3752 0.5000
Th2 Th 0.3752 0.8752 0.5000
Th3 Th 0.6248 0.1248 0.5000
Th4 Th 0.8752 0.6248 0.5000
Sc1 Sc 0.0000 0.0000 0.5000
Sc2 Sc 0.2064 0.7064 0.2265
Sc3 Sc 0.2064 0.7064 0.7735
Sc4 Sc 0.2936 0.2064 0.2265
Sc5 Sc 0.2936 0.2064 0.7735
Sc6 Sc 0.5000 0.5000 0.5000
Sc7 Sc 0.7064 0.7936 0.2265
Sc8 Sc 0.7064 0.7936 0.7735
Sc9 Sc 0.7936 0.2936 0.2265
Sc10 Sc 0.7936 0.2936 0.7735
```

For Dy4Tm2ThSc, DFT lattice parameters and positions (PBE) gives the theoretical X-ray diffraction stick pattern in this record (CuKα).

Largest 10 diffraction maxima, sorted by position, 10° ≤ 2θ ≤ 80°:
two_theta, I_rel
25.43, 3.4
27.02, 4.4
31.30, 100.0
36.24, 33.8
36.42, 16.7
52.18, 12.0
52.32, 23.8
62.12, 28.4
62.37, 14.1
65.30, 12.2

Structure:
```
data_Dy4Tm2ThSc
_space_group_name_H-M_alt 'P 1'
_space_group_IT_number 1
_space_group_name_Hall 'P 1'
_cell_length_a 4.9336
_cell_length_b 4.9529
_cell_length_c 9.9253
_cell_angle_alpha 90.00
_cell_angle_beta 90.00
_cell_angle_gamma 90.00
loop_
_atom_site_label
_atom_site_type_symbol
_atom_site_fract_x
_atom_site_fract_y
_atom_site_fract_z
Dy1 Dy 0.0000 0.0000 0.2470
Dy2 Dy 0.0000 0.0000 0.7530
Dy3 Dy 0.5000 0.5000 0.2466
Dy4 Dy 0.5000 0.5000 0.7534
Tm1 Tm 0.0000 0.5000 0.0000
Tm2 Tm 0.5000 0.0000 0.5000
Th1 Th 0.0000 0.5000 0.5000
Sc1 Sc 0.5000 0.0000 0.0000
```

For DyY2ThSc, DFT lattice parameters and positions (PBE) gives the theoretical X-ray diffraction stick pattern in this record (CuKα).

Largest 10 diffraction maxima, sorted by position, 10° ≤ 2θ ≤ 80°:
two_theta, I_rel
17.57, 36.8
22.85, 20.5
28.98, 41.6
29.27, 24.5
30.32, 100.0
32.75, 50.8
34.09, 32.5
47.84, 15.5
52.21, 23.8
56.71, 15.3

Structure:
```
data_DyY2ThSc
_space_group_name_H-M_alt 'P 1'
_space_group_IT_number 1
_space_group_name_Hall 'P 1'
_cell_length_a 6.1625
_cell_length_b 7.7844
_cell_length_c 6.6322
_cell_angle_alpha 90.00
_cell_angle_beta 90.00
_cell_angle_gamma 90.00
loop_
_atom_site_label
_atom_site_type_symbol
_atom_site_fract_x
_atom_site_fract_y
_atom_site_fract_z
Dy1 Dy 0.2500 0.0000 0.1865
Dy2 Dy 0.7500 0.0000 0.8135
Y1 Y 0.2500 0.2082 0.7223
Y2 Y 0.2500 0.7918 0.7223
Y3 Y 0.7500 0.2082 0.2777
Y4 Y 0.7500 0.7918 0.2777
Th1 Th 0.2500 0.5000 0.4059
Th2 Th 0.7500 0.5000 0.5941
Sc1 Sc 0.0000 0.5000 0.0000
Sc2 Sc 0.5000 0.5000 0.0000
```

For Dy2Y4ThSc, DFT lattice parameters and positions (PBE) gives the theoretical X-ray diffraction stick pattern in this record (CuKα).

Largest 10 diffraction maxima, sorted by position, 10° ≤ 2θ ≤ 80°:
two_theta, I_rel
17.76, 11.3
25.23, 10.2
31.03, 100.0
35.91, 33.7
36.10, 16.6
51.70, 11.8
51.84, 23.4
61.53, 27.8
61.78, 13.7
64.68, 11.9

Structure:
```
data_Dy2Y4ThSc
_space_group_name_H-M_alt 'P 1'
_space_group_IT_number 1
_space_group_name_Hall 'P 1'
_cell_length_a 4.9756
_cell_length_b 4.9993
_cell_length_c 10.0057
_cell_angle_alpha 90.00
_cell_angle_beta 90.00
_cell_angle_gamma 90.00
loop_
_atom_site_label
_atom_site_type_symbol
_atom_site_fract_x
_atom_site_fract_y
_atom_site_fract_z
Dy1 Dy 0.0000 0.0000 0.0000
Dy2 Dy 0.5000 0.5000 0.5000
Y1 Y 0.0000 0.5000 0.2478
Y2 Y 0.0000 0.5000 0.7522
Y3 Y 0.5000 0.0000 0.2474
Y4 Y 0.5000 0.0000 0.7526
Th1 Th 0.0000 0.0000 0.5000
Sc1 Sc 0.5000 0.5000 0.0000
```

For Dy6ScTl3, DFT lattice parameters and positions (PBE) gives the theoretical X-ray diffraction stick pattern in this record (CuKα).

Largest 10 diffraction maxima, sorted by position, 10° ≤ 2θ ≤ 80°:
two_theta, I_rel
31.92, 76.2
32.88, 100.0
33.12, 34.7
33.30, 13.0
34.58, 46.4
44.25, 15.5
48.63, 23.8
57.34, 12.9
60.31, 13.9
60.88, 17.8

Structure:
```
data_Dy6ScTl3
_space_group_name_H-M_alt 'P 1'
_space_group_IT_number 1
_space_group_name_Hall 'P 1'
_cell_length_a 10.0072
_cell_length_b 5.1883
_cell_length_c 11.4165
_cell_angle_alpha 90.00
_cell_angle_beta 104.08
_cell_angle_gamma 90.00
loop_
_atom_site_label
_atom_site_type_symbol
_atom_site_fract_x
_atom_site_fract_y
_atom_site_fract_z
Dy1 Dy 0.0590 0.2500 0.4076
Dy2 Dy 0.1577 0.7500 0.1833
Dy3 Dy 0.2461 0.2500 0.9958
Dy4 Dy 0.3184 0.7500 0.7981
Dy5 Dy 0.3845 0.2500 0.3043
Dy6 Dy 0.3883 0.2500 0.6115
Dy7 Dy 0.6117 0.7500 0.3885
Dy8 Dy 0.6155 0.7500 0.6957
Dy9 Dy 0.6816 0.2500 0.2019
Dy10 Dy 0.7539 0.7500 0.0042
Dy11 Dy 0.8423 0.2500 0.8167
Dy12 Dy 0.9410 0.7500 0.5924
Sc1 Sc 0.4605 0.7500 0.0985
Sc2 Sc 0.5395 0.2500 0.9015
Tl1 Tl 0.0331 0.7500 0.8920
Tl2 Tl 0.1161 0.2500 0.7039
Tl3 Tl 0.2867 0.7500 0.4669
Tl4 Tl 0.7133 0.2500 0.5331
Tl5 Tl 0.8839 0.7500 0.2961
Tl6 Tl 0.9669 0.2500 0.1080
```

For Dy6ScTl, DFT lattice parameters and positions (PBE) gives the theoretical X-ray diffraction stick pattern in this record (CuKα).

Largest 10 diffraction maxima, sorted by position, 10° ≤ 2θ ≤ 80°:
two_theta, I_rel
20.36, 4.7
31.69, 100.0
36.27, 17.4
37.00, 33.0
52.78, 23.9
53.33, 12.0
62.40, 14.4
63.38, 27.6
66.20, 12.1
78.79, 4.0

Structure:
```
data_Dy6ScTl
_space_group_name_H-M_alt 'P 1'
_space_group_IT_number 1
_space_group_name_Hall 'P 1'
_cell_length_a 4.8591
_cell_length_b 4.8591
_cell_length_c 9.9072
_cell_angle_alpha 90.00
_cell_angle_beta 90.00
_cell_angle_gamma 90.00
loop_
_atom_site_label
_atom_site_type_symbol
_atom_site_fract_x
_atom_site_fract_y
_atom_site_fract_z
Dy1 Dy 0.0000 0.0000 0.0000
Dy2 Dy 0.0000 0.0000 0.5000
Dy3 Dy 0.0000 0.5000 0.2497
Dy4 Dy 0.0000 0.5000 0.7503
Dy5 Dy 0.5000 0.0000 0.2497
Dy6 Dy 0.5000 0.0000 0.7503
Sc1 Sc 0.5000 0.5000 0.0000
Tl1 Tl 0.5000 0.5000 0.5000
```

For Dy3Sc5Tl2, DFT lattice parameters and positions (PBE) gives the theoretical X-ray diffraction stick pattern in this record (CuKα).

Largest 10 diffraction maxima, sorted by position, 10° ≤ 2θ ≤ 80°:
two_theta, I_rel
24.54, 62.4
28.29, 52.0
30.29, 40.1
31.06, 37.2
32.54, 68.6
34.14, 99.9
36.06, 100.0
37.81, 56.9
38.52, 46.4
46.58, 44.5

Structure:
```
data_Dy3Sc5Tl2
_space_group_name_H-M_alt 'P 1'
_space_group_IT_number 1
_space_group_name_Hall 'P 1'
_cell_length_a 11.7431
_cell_length_b 11.7431
_cell_length_c 11.7431
_cell_angle_alpha 140.92
_cell_angle_beta 51.26
_cell_angle_gamma 148.16
loop_
_atom_site_label
_atom_site_type_symbol
_atom_site_fract_x
_atom_site_fract_y
_atom_site_fract_z
Dy1 Dy 0.1275 0.6626 0.7900
Dy2 Dy 0.2500 0.2500 0.0000
Dy3 Dy 0.3725 0.1626 0.5351
Dy4 Dy 0.6275 0.8374 0.4649
Dy5 Dy 0.7500 0.7500 0.0000
Dy6 Dy 0.8725 0.3374 0.2100
Sc1 Sc 0.0823 0.2500 0.8323
Sc2 Sc 0.2256 0.3180 0.5436
Sc3 Sc 0.2500 0.7500 0.5000
Sc4 Sc 0.2744 0.8180 0.0924
Sc5 Sc 0.4177 0.2500 0.1677
Sc6 Sc 0.5823 0.7500 0.8323
Sc7 Sc 0.7256 0.1820 0.9076
Sc8 Sc 0.7500 0.2500 0.5000
Sc9 Sc 0.7744 0.6820 0.4564
Sc10 Sc 0.9177 0.7500 0.1677
Tl1 Tl 0.0849 0.2659 0.3508
Tl2 Tl 0.4151 0.7659 0.1810
Tl3 Tl 0.5849 0.2341 0.8190
Tl4 Tl 0.9151 0.7341 0.6492
```

For Dy4Tm4Sc, DFT lattice parameters and positions (PBE) gives the theoretical X-ray diffraction stick pattern in this record (CuKα).

Largest 10 diffraction maxima, sorted by position, 10° ≤ 2θ ≤ 80°:
two_theta, I_rel
11.96, 2.0
19.92, 2.9
26.26, 2.3
31.42, 100.0
36.43, 50.5
52.48, 35.6
62.45, 42.0
65.57, 12.1
77.34, 3.8
77.52, 1.9

Structure:
```
data_Dy4Tm4Sc
_space_group_name_H-M_alt 'P 1'
_space_group_IT_number 1
_space_group_name_Hall 'P 1'
_cell_length_a 7.8016
_cell_length_b 7.8016
_cell_length_c 7.8016
_cell_angle_alpha 95.72
_cell_angle_beta 95.72
_cell_angle_gamma 143.20
loop_
_atom_site_label
_atom_site_type_symbol
_atom_site_fract_x
_atom_site_fract_y
_atom_site_fract_z
Dy1 Dy 0.0000 0.3306 0.3306
Dy2 Dy 0.0000 0.6694 0.6694
Dy3 Dy 0.3306 0.0000 0.3306
Dy4 Dy 0.6694 0.0000 0.6694
Tm1 Tm 0.3354 0.3354 0.6708
Tm2 Tm 0.3354 0.6646 0.0000
Tm3 Tm 0.6646 0.3354 0.0000
Tm4 Tm 0.6646 0.6646 0.3292
Sc1 Sc 0.0000 0.0000 0.0000
```

For Dy8TmSc6, DFT lattice parameters and positions (PBE) gives the theoretical X-ray diffraction stick pattern in this record (CuKα).

Largest 10 diffraction maxima, sorted by position, 10° ≤ 2θ ≤ 80°:
two_theta, I_rel
15.52, 17.2
28.27, 30.9
29.56, 44.1
30.94, 100.0
31.33, 16.8
35.99, 39.9
36.73, 20.8
51.55, 25.9
52.07, 15.9
62.04, 13.4

Structure:
```
data_Dy8TmSc6
_space_group_name_H-M_alt 'P 1'
_space_group_IT_number 1
_space_group_name_Hall 'P 1'
_cell_length_a 7.8696
_cell_length_b 7.8696
_cell_length_c 7.8696
_cell_angle_alpha 73.17
_cell_angle_beta 73.17
_cell_angle_gamma 73.17
loop_
_atom_site_label
_atom_site_type_symbol
_atom_site_fract_x
_atom_site_fract_y
_atom_site_fract_z
Dy1 Dy 0.0927 0.0927 0.0927
Dy2 Dy 0.1388 0.2717 0.5653
Dy3 Dy 0.2717 0.5653 0.1388
Dy4 Dy 0.4347 0.8612 0.7283
Dy5 Dy 0.5653 0.1388 0.2717
Dy6 Dy 0.7283 0.4347 0.8612
Dy7 Dy 0.8612 0.7283 0.4347
Dy8 Dy 0.9073 0.9073 0.9073
Tm1 Tm 0.5000 0.5000 0.5000
Sc1 Sc 0.1165 0.5556 0.7901
Sc2 Sc 0.2099 0.8835 0.4444
Sc3 Sc 0.4444 0.2099 0.8835
Sc4 Sc 0.5556 0.7901 0.1165
Sc5 Sc 0.7901 0.1165 0.5556
Sc6 Sc 0.8835 0.4444 0.2099
```

For DyTm4Sc, DFT lattice parameters and positions (PBE) gives the theoretical X-ray diffraction stick pattern in this record (CuKα).

Largest 10 diffraction maxima, sorted by position, 10° ≤ 2θ ≤ 80°:
two_theta, I_rel
18.88, 3.8
29.17, 25.1
32.72, 23.7
33.54, 100.0
44.40, 16.1
51.72, 19.4
58.93, 19.9
62.56, 21.9
63.06, 16.1
70.49, 4.0

Structure:
```
data_DyTm4Sc
_space_group_name_H-M_alt 'P 1'
_space_group_IT_number 1
_space_group_name_Hall 'P 1'
_cell_length_a 5.4734
_cell_length_b 3.5385
_cell_length_c 18.3511
_cell_angle_alpha 90.00
_cell_angle_beta 90.00
_cell_angle_gamma 90.00
loop_
_atom_site_label
_atom_site_type_symbol
_atom_site_fract_x
_atom_site_fract_y
_atom_site_fract_z
Dy1 Dy 0.0000 0.0000 0.0000
Dy2 Dy 0.0000 0.5000 0.5000
Tm1 Tm 0.0000 0.0000 0.3305
Tm2 Tm 0.0000 0.0000 0.6683
Tm3 Tm 0.0000 0.5000 0.1683
Tm4 Tm 0.0000 0.5000 0.8305
Tm5 Tm 0.5000 0.0000 0.5573
Tm6 Tm 0.5000 0.0000 0.8854
Tm7 Tm 0.5000 0.5000 0.0573
Tm8 Tm 0.5000 0.5000 0.3854
Sc1 Sc 0.5000 0.0000 0.2228
Sc2 Sc 0.5000 0.5000 0.7228
```

For Dy3Tm5Sc, DFT lattice parameters and positions (PBE) gives the theoretical X-ray diffraction stick pattern in this record (CuKα).

Largest 10 diffraction maxima, sorted by position, 10° ≤ 2θ ≤ 80°:
two_theta, I_rel
16.11, 37.4
18.45, 31.5
28.21, 46.5
28.77, 74.1
29.89, 27.3
30.59, 39.3
32.53, 100.0
33.39, 49.9
35.13, 61.4
40.84, 26.9

Structure:
```
data_Dy3Tm5Sc
_space_group_name_H-M_alt 'P 1'
_space_group_IT_number 1
_space_group_name_Hall 'P 1'
_cell_length_a 8.1270
_cell_length_b 8.1270
_cell_length_c 11.4103
_cell_angle_alpha 111.54
_cell_angle_beta 111.54
_cell_angle_gamma 85.24
loop_
_atom_site_label
_atom_site_type_symbol
_atom_site_fract_x
_atom_site_fract_y
_atom_site_fract_z
Dy1 Dy 0.0000 0.0000 0.0000
Dy2 Dy 0.0000 0.0000 0.5000
Dy3 Dy 0.2180 0.2180 0.3432
Dy4 Dy 0.3217 0.3217 0.7600
Dy5 Dy 0.6783 0.6783 0.2400
Dy6 Dy 0.7820 0.7820 0.6568
Tm1 Tm 0.0801 0.5662 0.1956
Tm2 Tm 0.2844 0.7156 0.0000
Tm3 Tm 0.3245 0.3245 0.0439
Tm4 Tm 0.4338 0.9199 0.8044
Tm5 Tm 0.4940 0.4940 0.6277
Tm6 Tm 0.5060 0.5060 0.3723
Tm7 Tm 0.5662 0.0801 0.1956
Tm8 Tm 0.6755 0.6755 0.9561
Tm9 Tm 0.7156 0.2844 0.0000
Tm10 Tm 0.9199 0.4338 0.8044
Sc1 Sc 0.0694 0.0694 0.7905
Sc2 Sc 0.9306 0.9306 0.2095
```

For Dy19Tm4Sc6, DFT lattice parameters and positions (PBE) gives the theoretical X-ray diffraction stick pattern in this record (CuKα).

Largest 10 diffraction maxima, sorted by position, 10° ≤ 2θ ≤ 80°:
two_theta, I_rel
29.66, 36.6
29.92, 21.5
32.08, 72.7
32.78, 100.0
33.04, 45.1
34.44, 45.9
34.70, 83.2
52.06, 18.7
52.64, 18.1
62.88, 27.4

Structure:
```
data_Dy19Tm4Sc6
_space_group_name_H-M_alt 'P 1'
_space_group_IT_number 1
_space_group_name_Hall 'P 1'
_cell_length_a 9.1864
_cell_length_b 9.9614
_cell_length_c 11.0806
_cell_angle_alpha 106.31
_cell_angle_beta 107.17
_cell_angle_gamma 101.51
loop_
_atom_site_label
_atom_site_type_symbol
_atom_site_fract_x
_atom_site_fract_y
_atom_site_fract_z
Dy1 Dy 0.0000 0.0000 0.0000
Dy2 Dy 0.0255 0.6177 0.2877
Dy3 Dy 0.0547 0.2460 0.5755
Dy4 Dy 0.1264 0.9213 0.5864
Dy5 Dy 0.1609 0.5499 0.8862
Dy6 Dy 0.2268 0.2195 0.8888
Dy7 Dy 0.2533 0.8433 0.1808
Dy8 Dy 0.3093 0.9049 0.9038
Dy9 Dy 0.4266 0.8232 0.4942
Dy10 Dy 0.4913 0.4948 0.4998
Dy11 Dy 0.5986 0.7959 0.8034
Dy12 Dy 0.6192 0.4190 0.0822
Dy13 Dy 0.6475 0.0487 0.3784
Dy14 Dy 0.7170 0.7189 0.3820
Dy15 Dy 0.7474 0.3456 0.6823
Dy16 Dy 0.8018 0.3973 0.3979
Dy17 Dy 0.9030 0.6976 0.7004
Dy18 Dy 0.9287 0.3203 0.9929
Dy19 Dy 0.9464 0.9479 0.2751
Tm1 Tm 0.2004 0.5994 0.5967
Tm2 Tm 0.3992 0.2028 0.2037
Tm3 Tm 0.8255 0.0241 0.6905
Tm4 Tm 0.8525 0.6460 0.9816
Sc1 Sc 0.1006 0.2965 0.2990
Sc2 Sc 0.3256 0.5190 0.1916
Sc3 Sc 0.3439 0.1389 0.4728
Sc4 Sc 0.5283 0.1140 0.7893
Sc5 Sc 0.5504 0.7552 0.0855
Sc6 Sc 0.7009 0.0989 0.0991
```